# CoS
Theoretical X-ray diffraction stick pattern, Cu Ka. Input: a structure optimized by DFT (PBE).

Most intense lines, 2θ = 15–90°, by intensity:
hkl 1 0 1, 2θ = 31.49°, I 100
hkl 3 0 1, 2θ = 52.40°, I 57
hkl 1 1 0, 2θ = 20.06°, I 52
hkl 2 0 0, 2θ = 28.51°, I 40
hkl 2 1 0, 2θ = 31.96°, I 30
hkl 3 1 0, 2θ = 45.83°, I 25

Cell and atoms:
a b c (Å): 6.2611 6.2611 3.1875
angles (deg): 90.00 90.00 90.00
Fractional positions:
Co1 0.1406 0.1406 0.0000
Co2 0.3594 0.6406 0.5000
Co3 0.6406 0.3594 0.5000
Co4 0.8594 0.8594 0.0000
S1 0.1987 0.8013 0.0000
S2 0.3013 0.3013 0.5000
S3 0.6987 0.6987 0.5000
S4 0.8013 0.1987 0.0000